Entry 1:
# TiCd2Pd9
Computed X-ray powder pattern, Cu Ka. Input: a cell relaxed with PBE.
Neutral-atom scattering factors, no anomalous dispersion.

Structure:
Unit cell a=3.9754 b=3.9754 c=12.1340 alpha=90.00 beta=90.00 gamma=90.00
Space group P4/mmm (No. 123)
One atom of each set of equivalent atoms:
Ti  0.0000  0.0000  0.0000 (multiplicity 1)
Cd  0.0000  0.0000  0.3316 (multiplicity 2)
Pd  0.0000  0.5000  0.1561 (multiplicity 4)
Pd  0.0000  0.5000  0.5000 (multiplicity 2)
Pd  0.5000  0.5000  0.0000 (multiplicity 1)
Pd  0.5000  0.5000  0.3263 (multiplicity 2)

Main lines, sorted by position (10 to 90 degrees two-theta):
2θ/deg	d_spacing	I (rel.)	index
35.2	2.551	2	1 1 2
39.0	2.308	100	1 1 3
44.8	2.022	16	0 0 6
45.6	1.988	32	2 0 0
65.9	1.418	19	2 0 6
66.5	1.406	10	2 2 0
70.6	1.335	1	1 1 8
78.7	1.216	11	1 1 9
79.9	1.200	23	3 1 3
83.8	1.154	10	2 2 6

=====

Entry 2:
# BaInAg2Ge
Computed X-ray powder pattern, Cu Ka. Input: a cell relaxed with PBE.
Neutral-atom scattering factors, no anomalous dispersion.

Structure:
Unit cell a=4.5597 b=4.7025 c=11.9018 alpha=90.00 beta=90.00 gamma=90.00
Space group Imm2 (No. 44)
One atom of each set of equivalent atoms:
Ba  0.0000  0.0000  0.0000 (multiplicity 2)
In  0.0000  0.5000  0.7509 (multiplicity 2)
Ag  0.0000  0.0000  0.6151 (multiplicity 2)
Ag  0.0000  0.5000  0.2708 (multiplicity 2)
Ge  0.0000  0.0000  0.3904 (multiplicity 2)

Main lines, sorted by position (10 to 90 degrees two-theta):
2θ/deg	d_spacing	I (rel.)	index
29.5	3.032	14	0 1 3
29.9	2.993	27	1 0 3
31.2	2.868	100	1 1 2
38.3	2.351	28	0 2 0
39.5	2.280	26	2 0 0
41.0	2.202	22	1 1 4
42.6	2.124	19	0 1 5
49.3	1.849	13	1 2 3
56.2	1.637	18	2 2 0
59.5	1.554	14	2 1 5

=====

Entry 3:
# Sr2PaO6
Computed X-ray powder pattern, Cu Ka. Input: a cell relaxed with PBE.
Neutral-atom scattering factors, no anomalous dispersion.

Structure:
Unit cell a=5.4271 b=5.4271 c=11.1646 alpha=90.00 beta=90.00 gamma=90.00
Space group P4_2/mnm (No. 136)
One atom of each set of equivalent atoms:
Sr  0.0000  0.0000  0.1658 (multiplicity 4)
Pa  0.0000  0.0000  0.5000 (multiplicity 2)
O  0.1780  0.1780  0.3577 (multiplicity 8)
O  0.2260  0.2260  0.0000 (multiplicity 4)

Main lines, sorted by position (10 to 90 degrees two-theta):
2θ/deg	d_spacing	I (rel.)	index
18.2	4.881	45	1 0 1
23.2	3.838	100	1 1 0
29.1	3.069	89	1 0 3
33.0	2.714	25	2 0 0
44.6	2.033	73	2 1 3
47.4	1.919	18	2 2 0
53.4	1.716	17	3 1 0
54.8	1.674	19	1 1 6
56.6	1.627	22	3 0 3
67.1	1.395	17	3 2 3

=====

Entry 4:
# K2GaI4
Computed X-ray powder pattern, Cu Ka. Input: a cell relaxed with PBE.
Neutral-atom scattering factors, no anomalous dispersion.

Structure:
Unit cell a=5.7566 b=5.7566 c=18.2516 alpha=90.00 beta=90.00 gamma=90.00
Space group I4/mmm (No. 139)
One atom of each set of equivalent atoms:
K  0.0000  0.0000  0.1409 (multiplicity 4)
Ga  0.0000  0.0000  0.5000 (multiplicity 2)
I  0.0000  0.0000  0.3335 (multiplicity 4)
I  0.0000  0.5000  0.0000 (multiplicity 4)

Main lines, sorted by position (10 to 90 degrees two-theta):
2θ/deg	d_spacing	I (rel.)	index
16.1	5.490	37	1 0 1
23.9	3.717	71	1 1 2
29.0	3.083	21	1 0 5
29.4	3.039	100	0 0 6
31.1	2.878	77	2 0 0
43.3	2.091	55	2 0 6
44.5	2.035	28	2 2 0
51.1	1.786	23	3 1 2
54.2	1.691	48	2 2 6
81.1	1.185	17	4 2 6

=====

Entry 5:
# CsBiTeS
Computed X-ray powder pattern, Cu Ka. Input: a cell relaxed with PBE.
Neutral-atom scattering factors, no anomalous dispersion.

Structure:
Unit cell a=7.6333 b=4.4046 c=9.0361 alpha=90.00 beta=106.35 gamma=90.00
Space group Cm (No. 8)
One atom of each set of equivalent atoms:
Cs  0.0000  0.0000  0.0000 (multiplicity 2)
Bi  0.1522  0.0000  0.4543 (multiplicity 2)
Te  0.0554  0.5000  0.6651 (multiplicity 2)
S  0.2615  0.5000  0.2832 (multiplicity 2)

Main lines, sorted by position (10 to 90 degrees two-theta):
2θ/deg	d_spacing	I (rel.)	index
10.2	8.671	42	0 0 1
20.5	4.335	22	0 0 2
23.6	3.775	27	2 0 -1
24.3	3.661	86	1 1 -1
29.0	3.077	100	2 0 1
33.7	2.662	68	2 0 -3
36.3	2.475	27	1 1 -3
41.0	2.203	60	0 2 0
51.0	1.791	21	2 2 1
51.6	1.772	19	1 1 4

=====

Entry 6:
# TbNd4Eu
Computed X-ray powder pattern, Cu Ka. Input: a cell relaxed with PBE.
Neutral-atom scattering factors, no anomalous dispersion.

Structure:
Unit cell a=9.6468 b=9.6468 c=9.6468 alpha=90.00 beta=90.00 gamma=90.00
Space group F-43m (No. 216)
One atom of each set of equivalent atoms:
Tb  0.0000  0.0000  0.0000 (multiplicity 4)
Nd  0.1272  0.1272  0.6272 (multiplicity 16)
Eu  0.2500  0.2500  0.2500 (multiplicity 4)

Main lines, sorted by position (10 to 90 degrees two-theta):
2θ/deg	d_spacing	I (rel.)	index
26.1	3.411	28	2 2 0
30.7	2.909	100	3 1 1
32.1	2.785	38	2 2 2
46.1	1.969	12	4 2 2
49.1	1.857	37	3 3 3
53.8	1.705	32	4 4 0
63.2	1.471	13	5 3 3
64.0	1.454	16	6 2 2
75.7	1.256	23	7 3 1
87.6	1.114	12	5 5 5

=====

Entry 7:
# AcPr5Tm6
Computed X-ray powder pattern, Cu Ka. Input: a cell relaxed with PBE.
Neutral-atom scattering factors, no anomalous dispersion.

Structure:
Unit cell a=5.1947 b=9.9769 c=15.5681 alpha=90.00 beta=90.00 gamma=90.00
Space group Immm (No. 71)
One atom of each set of equivalent atoms:
Ac  0.0000  0.0000  0.0000 (multiplicity 2)
Pr  0.0000  0.0000  0.3332 (multiplicity 4)
Pr  0.0000  0.5000  0.0000 (multiplicity 2)
Pr  0.0000  0.5000  0.3309 (multiplicity 4)
Tm  0.0000  0.2454  0.5000 (multiplicity 4)
Tm  0.0000  0.2521  0.1679 (multiplicity 8)

Main lines, sorted by position (10 to 90 degrees two-theta):
2θ/deg	d_spacing	I (rel.)	index
30.2	2.957	100	1 2 3
34.6	2.596	35	2 0 0
36.0	2.494	16	0 4 0
49.7	1.836	13	2 0 6
50.8	1.799	24	2 4 0
59.2	1.560	15	3 2 3
59.3	1.559	15	1 2 9
61.2	1.515	14	1 6 3
62.9	1.478	12	2 4 6
82.6	1.168	12	3 6 3